Mn2Pb2F7: theoretical powder diffraction line list (Cu Kα, 1.54184 Å), based on a cell relaxed with GGA+U.

Atomic structure:
Cell: 5.333 5.333 6.143 Å, 90.00 90.00 97.81°
Fractional positions:
Mn  0.231  0.769  0.000
Mn  0.769  0.231  0.000
Pb  0.248  0.248  0.500
Pb  0.752  0.752  0.500
F  0.000  0.000  0.196
F  0.000  0.000  0.804
F  0.000  0.500  0.233
F  0.000  0.500  0.767
F  0.500  0.000  0.233
F  0.500  0.000  0.767
F  0.500  0.500  0.000

Most intense lines, 10 to 90 degrees two-theta, most intense first:
2θ (°), Rel. int.
26.50, 1000
29.33, 954
45.28, 708
14.42, 480
37.04, 405
54.73, 315
33.93, 313
29.07, 302
71.00, 240
36.83, 236